1.
# Th8SnOs3Se4
Calculated X-ray diffraction stick pattern, Cu Kα. Input: a cell relaxed with GGA-PBE.
Kinematic intensities with the Lorentz-polarization factor, no thermal factor.

Top 10 peaks for 10 to 90 degrees two-theta, by intensity:
d [Å]	2θ/deg	I/Imax
3.036	29.4	100
2.113	42.8	37
2.182	41.4	36
1.734	52.8	19
1.341	70.2	15
7.245	12.2	15
1.375	68.2	14
1.518	61.1	11
1.233	77.4	11
3.468	25.7	10

Structure:
Lattice parameters (Å, degrees): 8.7352 8.7352 8.7352 57.87 57.87 57.87
Element x y z (fractional)
Th: 0.2188 0.7528 0.7528
Th: 0.2389 0.2389 0.2389
Th: 0.2472 0.2472 0.7812
Th: 0.2472 0.7812 0.2472
Th: 0.7528 0.2188 0.7528
Th: 0.7528 0.7528 0.2188
Th: 0.7611 0.7611 0.7611
Th: 0.7812 0.2472 0.2472
Sn: 0.5000 0.5000 0.5000
Os: 0.0000 0.0000 0.5000
Os: 0.0000 0.5000 0.0000
Os: 0.5000 0.0000 0.0000
Se: 0.0000 0.0000 0.0000
Se: 0.0000 0.5000 0.5000
Se: 0.5000 0.0000 0.5000
Se: 0.5000 0.5000 0.0000

2.
# Mg3Cd2Ga2
Calculated X-ray diffraction stick pattern, Cu Kα. Input: a cell relaxed with GGA-PBE.
Kinematic intensities with the Lorentz-polarization factor, no thermal factor.

Top 10 peaks for 10 to 90 degrees two-theta, by intensity:
d [Å]	2θ/deg	I/Imax
2.396	37.5	100
2.552	35.2	82
3.166	28.2	70
2.053	44.1	63
2.332	38.6	49
4.536	19.6	32
1.877	48.5	31
1.333	70.7	29
2.480	36.2	28
3.792	23.5	26

Structure:
Lattice parameters (Å, degrees): 10.1771 10.1771 10.1771 161.86 153.51 32.29
Element x y z (fractional)
Mg: 0.0000 0.0000 0.0000
Mg: 0.2950 0.7950 0.5000
Mg: 0.7050 0.2050 0.5000
Cd: 0.4276 0.4276 0.0000
Cd: 0.5724 0.5724 0.0000
Ga: 0.1508 0.6508 0.5000
Ga: 0.8492 0.3492 0.5000

3.
# Pr6Dy8In
Calculated X-ray diffraction stick pattern, Cu Kα. Input: a cell relaxed with GGA-PBE.
Kinematic intensities with the Lorentz-polarization factor, no thermal factor.

Top 10 peaks for 10 to 90 degrees two-theta, by intensity:
d [Å]	2θ/deg	I/Imax
2.801	32.0	100
2.669	33.6	21
3.109	28.7	21
1.795	50.9	18
3.228	27.6	14
3.468	25.7	13
2.239	40.3	13
1.511	61.4	13
3.005	29.7	11
1.811	50.4	9

Structure:
Lattice parameters (Å, degrees): 9.4968 9.4968 6.4553 90.00 90.00 120.00
Element x y z (fractional)
Pr: 0.0893 0.4485 0.3171
Pr: 0.3593 0.9107 0.3171
Pr: 0.4485 0.3593 0.6829
Pr: 0.5515 0.6407 0.3171
Pr: 0.6407 0.0893 0.6829
Pr: 0.9107 0.5515 0.6829
Dy: 0.0391 0.2622 0.8130
Dy: 0.2230 0.9609 0.8130
Dy: 0.2622 0.2230 0.1870
Dy: 0.3333 0.6667 0.8363
Dy: 0.6667 0.3333 0.1637
Dy: 0.7378 0.7770 0.8130
Dy: 0.7770 0.0391 0.1870
Dy: 0.9609 0.7378 0.1870
In: 0.0000 0.0000 0.5000

4.
# Sr2Li2PbO6
Calculated X-ray diffraction stick pattern, Cu Kα. Input: a cell relaxed with GGA-PBE.
Kinematic intensities with the Lorentz-polarization factor, no thermal factor.

Top 10 peaks for 10 to 90 degrees two-theta, by intensity:
d [Å]	2θ/deg	I/Imax
4.882	18.2	100
2.956	30.2	64
2.738	32.7	53
3.176	28.1	43
2.164	41.7	33
1.661	55.3	27
2.009	45.1	26
2.529	35.5	19
1.537	60.2	17
1.746	52.4	17

Structure:
Lattice parameters (Å, degrees): 6.3884 6.3884 6.3884 55.13 55.13 55.13
Element x y z (fractional)
Sr: 0.2122 0.2122 0.2122
Sr: 0.7878 0.7878 0.7878
Li: 0.4225 0.4225 0.4225
Li: 0.5775 0.5775 0.5775
Pb: 0.0000 0.0000 0.0000
O: 0.2235 0.7535 0.7535
O: 0.2465 0.2465 0.7765
O: 0.2465 0.7765 0.2465
O: 0.7535 0.2235 0.7535
O: 0.7535 0.7535 0.2235
O: 0.7765 0.2465 0.2465

5.
# K3SnCl6
Calculated X-ray diffraction stick pattern, Cu Kα. Input: a cell relaxed with GGA-PBE.
Kinematic intensities with the Lorentz-polarization factor, no thermal factor.

Top 10 peaks for 10 to 90 degrees two-theta, by intensity:
d [Å]	2θ/deg	I/Imax
2.805	31.9	100
6.229	14.2	87
6.458	13.7	77
4.483	19.8	69
2.867	31.2	57
2.441	36.8	52
3.683	24.2	45
1.977	45.9	27
4.069	21.8	25
2.076	43.6	24

Structure:
Lattice parameters (Å, degrees): 8.9776 8.9776 8.9776 92.00 92.00 92.00
Element x y z (fractional)
K: 0.0680 0.7693 0.5858
K: 0.2307 0.4142 0.9320
K: 0.4142 0.9320 0.2307
K: 0.5858 0.0680 0.7693
K: 0.7693 0.5858 0.0680
K: 0.9320 0.2307 0.4142
Sn: 0.0000 0.0000 0.0000
Sn: 0.5000 0.5000 0.5000
Cl: 0.0556 0.6977 0.9145
Cl: 0.0855 0.9444 0.3023
Cl: 0.2330 0.4407 0.5451
Cl: 0.3023 0.0855 0.9444
Cl: 0.4407 0.5451 0.2330
Cl: 0.4549 0.7670 0.5593
Cl: 0.5451 0.2330 0.4407
Cl: 0.5593 0.4549 0.7670
Cl: 0.6977 0.9145 0.0556
Cl: 0.7670 0.5593 0.4549
Cl: 0.9145 0.0556 0.6977
Cl: 0.9444 0.3023 0.0855

6.
# LaGaNiH
Calculated X-ray diffraction stick pattern, Cu Kα. Input: a cell relaxed with GGA-PBE.
Kinematic intensities with the Lorentz-polarization factor, no thermal factor.

Top 10 peaks for 10 to 90 degrees two-theta, by intensity:
d [Å]	2θ/deg	I/Imax
2.815	31.8	100
2.103	43.0	39
1.526	60.7	25
1.685	54.5	21
1.315	71.8	18
2.217	40.7	14
1.370	68.5	10
3.643	24.4	10
1.214	78.8	6
1.894	48.0	6

Structure:
Lattice parameters (Å, degrees): 4.2063 4.2063 4.4342 90.00 90.00 120.00
Element x y z (fractional)
La: 0.0000 0.0000 0.0000
Ga: 0.3333 0.6667 0.4894
Ni: 0.6667 0.3333 0.5561
H: 0.6667 0.3333 0.9185